Structure and theoretical XRD peak list of BaNaAsPt (a PBE-relaxed structure; a wavelength of 1.5418 Å).
Kinematic intensities with the Lorentz-polarization factor, no thermal factor.

Peak list (10 most intense, 2θ = 10–90°, by angle)
21.37 deg, I 8; 24.73 deg, I 33; 35.26 deg, I 100; 43.54 deg, I 10; 50.72 deg, I 18; 57.22 deg, I 14; 63.27 deg, I 36; 74.55 deg, I 11; 79.94 deg, I 7; 85.24 deg, I 16

Crystal structure
Unit cell a=5.091 b=5.091 c=5.091 alpha=60.00 beta=60.00 gamma=60.00
Positions (direct):
Ba1 0.000 0.000 0.000
Na1 0.250 0.250 0.250
As1 0.750 0.750 0.750
Pt1 0.500 0.500 0.500